Simulated PXRD pattern
Compound: Dy6HoSc2
Radiation: Cu Kα, 1.54184 Å
Structure: a crystal structure in Alexandria, relaxed with GGA-PBE
Intensities are scaled so that the largest is 100.

Peak list (10 most intense, 2θ = 10–90°, sorted by position)
Position (°2θ)  I_rel
32.3  100
32.5  33
32.6  67
46.5  24
46.6  12
57.9  12
58.0  19
58.1  19
64.3  18
64.3  9

Crystal structure
```
Dy6HoSc2
1.0
10.596 -4.746 0.000
10.596 4.746 0.000
-1.425 0.000 5.319
Dy Ho Sc
12 2 4
direct
0.003 0.170 0.326
0.080 0.580 0.080
0.170 0.003 0.826
0.330 0.497 0.652
0.420 0.920 0.420
0.497 0.330 0.152
0.503 0.670 0.848
0.580 0.080 0.580
0.670 0.503 0.348
0.830 0.997 0.174
0.920 0.420 0.920
0.997 0.830 0.674
0.250 0.750 0.250
0.750 0.250 0.750
0.167 0.333 0.508
0.333 0.167 0.008
0.667 0.833 0.992
0.833 0.667 0.492
```

Simulated PXRD pattern
Compound: LuPuTc
Radiation: Cu Kα, 1.54184 Å
Structure: a crystal structure in Alexandria, relaxed with GGA-PBE
Intensities are scaled so that the largest is 100.

Peak list (10 most intense, 2θ = 10–90°, sorted by position)
Position (°2θ)  I_rel
22.1  15
34.3  100
38.8  72
47.2  8
52.7  30
53.2  10
67.3  29
67.8  28
70.1  13
83.1  8

Crystal structure
```
LuPuTc
1.0
4.647 0.000 0.000
-2.324 4.025 0.000
0.000 0.000 3.441
Lu Pu Tc
1 1 1
direct
0.000 0.000 0.000
0.333 0.667 0.500
0.667 0.333 0.500
```

Simulated PXRD pattern
Compound: Na2AgPb2
Radiation: Cu Kα, 1.54184 Å
Structure: a crystal structure in Alexandria, relaxed with GGA-PBE
Intensities are scaled so that the largest is 100.

Peak list (10 most intense, 2θ = 10–90°, sorted by position)
Position (°2θ)  I_rel
19.3  100
21.5  39
27.1  53
31.5  44
34.4  79
35.2  41
35.4  35
44.0  30
44.7  28
45.0  28

Crystal structure
```
Na2AgPb2
1.0
5.667 -2.549 0.000
5.667 2.549 0.000
-3.387 0.000 9.695
Na Ag Pb
4 2 4
direct
0.041 0.041 0.353
0.165 0.165 0.074
0.835 0.835 0.926
0.959 0.959 0.647
0.271 0.271 0.671
0.729 0.729 0.329
0.357 0.357 0.406
0.474 0.474 0.139
0.526 0.526 0.861
0.643 0.643 0.594
```